Record 1
Starting from a crystal structure in Alexandria, relaxed with GGA+U, the powder XRD pattern of LiMn2P3O12 was computed for Cu Ka.
Kinematic intensities with the Lorentz-polarization factor, no thermal factor.

Structural model:
```
LiMn2P3O12
1.0
5.9392 -6.2085 0.0000
5.9392 6.2085 0.0000
-2.4212 0.0000 5.7390
Li Mn P O
2 4 6 24
direct
0.0000 0.0000 0.0000
0.0000 0.0000 0.5000
0.1208 0.4387 0.8627
0.4387 0.1208 0.3627
0.5613 0.8792 0.6373
0.8792 0.5613 0.1373
0.1507 0.3397 0.3569
0.2255 0.7745 0.2500
0.3397 0.1507 0.8569
0.6603 0.8493 0.1431
0.7745 0.2255 0.7500
0.8493 0.6603 0.6431
0.0464 0.1808 0.2893
0.0502 0.7533 0.2775
0.0914 0.4374 0.1683
0.1436 0.4679 0.5834
0.1808 0.0464 0.7893
0.2429 0.6515 0.0260
0.2467 0.9498 0.2225
0.3176 0.3340 0.8889
0.3340 0.3176 0.3889
0.3485 0.7571 0.4740
0.4374 0.0914 0.6683
0.4679 0.1436 0.0834
0.5321 0.8564 0.9166
0.5626 0.9086 0.3317
0.6515 0.2429 0.5260
0.6660 0.6824 0.6111
0.6824 0.6660 0.1111
0.7533 0.0502 0.7775
0.7571 0.3485 0.9740
0.8192 0.9536 0.2107
0.8564 0.5321 0.4166
0.9086 0.5626 0.8317
0.9498 0.2467 0.7225
0.9536 0.8192 0.7107
```

Peak list (8 most intense, 15 to 90 degrees two-theta, most intense first)
d 5.472, 2θ = 16.20°, I = 100
d 2.733, 2θ = 32.77°, I = 41
d 2.994, 2θ = 29.84°, I = 40
d 5.520, 2θ = 16.06°, I = 33
d 2.700, 2θ = 33.18°, I = 26
d 3.436, 2θ = 25.93°, I = 20
d 2.786, 2θ = 32.12°, I = 13
d 3.655, 2θ = 24.35°, I = 13

Record 2
Starting from a crystal structure in Alexandria, relaxed with GGA+U, the powder XRD pattern of LiMn4P3O12 was computed for Cu Ka.
Kinematic intensities with the Lorentz-polarization factor, no thermal factor.

Structural model:
```
LiMn4P3O12
1.0
5.9854 -6.6788 0.0000
5.9854 6.6788 0.0000
-3.0656 0.0000 5.9107
Li Mn P O
2 8 6 24
direct
0.0218 0.9782 0.5000
0.9782 0.0218 0.0000
0.0884 0.3860 0.8280
0.3096 0.7677 0.4849
0.3860 0.0884 0.3280
0.5039 0.5194 0.2714
0.5194 0.5039 0.7714
0.6678 0.9753 0.1046
0.7677 0.3096 0.9849
0.9753 0.6678 0.6046
0.1481 0.3631 0.3352
0.3414 0.7244 0.9730
0.3631 0.1481 0.8352
0.7041 0.9193 0.6034
0.7244 0.3414 0.4730
0.9193 0.7041 0.1034
0.0294 0.3642 0.1090
0.0417 0.7250 0.3433
0.0754 0.4171 0.5190
0.1755 0.1900 0.2901
0.1900 0.1755 0.7901
0.2301 0.7435 0.7589
0.3129 0.4910 0.4114
0.3205 0.5483 0.9783
0.3238 0.8320 0.1893
0.3642 0.0294 0.6090
0.4171 0.0754 0.0190
0.4910 0.3129 0.9114
0.5127 0.7479 0.9580
0.5483 0.3205 0.4783
0.5743 0.7624 0.5386
0.6522 0.9969 0.4256
0.7250 0.0417 0.8433
0.7435 0.2301 0.2589
0.7479 0.5127 0.4580
0.7624 0.5743 0.0386
0.8320 0.3238 0.6893
0.8762 0.8852 0.6356
0.8852 0.8762 0.1356
0.9969 0.6522 0.9256
```

Peak list (8 most intense, 15 to 90 degrees two-theta, most intense first)
d 2.828, 2θ = 31.64°, I = 100
d 3.424, 2θ = 26.02°, I = 66
d 3.168, 2θ = 28.17°, I = 43
d 2.631, 2θ = 34.08°, I = 32
d 2.990, 2θ = 29.88°, I = 28
d 2.177, 2θ = 41.48°, I = 19
d 1.697, 2θ = 54.03°, I = 18
d 2.966, 2θ = 30.13°, I = 17

Record 3
Starting from a crystal structure in Alexandria, relaxed with GGA+U, the powder XRD pattern of LiMnPO4 was computed for Cu Ka.
Kinematic intensities with the Lorentz-polarization factor, no thermal factor.

Structural model:
```
LiMnPO4
1.0
8.8620 0.0000 0.0000
0.0000 5.1792 0.0000
-2.6461 0.0000 8.2337
Li Mn P O
4 4 4 16
direct
0.0000 0.1780 0.0000
0.0000 0.8220 0.5000
0.4917 0.3150 0.3755
0.4917 0.6850 0.8755
0.2476 0.1816 0.7642
0.2476 0.8184 0.2642
0.7397 0.3222 0.1337
0.7397 0.6778 0.6337
0.1215 0.3109 0.3767
0.1215 0.6891 0.8767
0.6195 0.1883 0.7626
0.6195 0.8117 0.2626
0.0978 0.1738 0.5273
0.0978 0.8262 0.0273
0.1383 0.3932 0.9058
0.1383 0.6068 0.4058
0.2733 0.2038 0.3433
0.2733 0.7962 0.8433
0.4775 0.3083 0.8087
0.4775 0.6917 0.3087
0.5955 0.1077 0.2375
0.5955 0.8923 0.7375
0.6345 0.3142 0.6049
0.6345 0.6858 0.1049
0.7712 0.2505 0.9054
0.7712 0.7495 0.4054
0.9790 0.2460 0.2252
0.9790 0.7540 0.7252
```

Peak list (8 most intense, 15 to 90 degrees two-theta, most intense first)
d 4.179, 2θ = 21.26°, I = 100
d 4.219, 2θ = 21.06°, I = 78
d 3.321, 2θ = 26.84°, I = 74
d 4.117, 2θ = 21.59°, I = 39
d 2.590, 2θ = 34.64°, I = 35
d 2.049, 2θ = 44.19°, I = 24
d 2.471, 2θ = 36.36°, I = 19
d 2.209, 2θ = 40.86°, I = 18

Record 4
Starting from a crystal structure in Alexandria, relaxed with GGA+U, the powder XRD pattern of LiMnP2O7 was computed for Cu Ka.
Kinematic intensities with the Lorentz-polarization factor, no thermal factor.

Structural model:
```
LiMnP2O7
1.0
4.8099 0.0000 0.0000
0.0000 8.3569 0.0000
-2.2984 0.0000 6.7321
Li Mn P O
2 2 4 14
direct
0.1766 0.0000 0.1764
0.8234 0.5000 0.8236
0.2075 0.6401 0.2251
0.7925 0.1401 0.7749
0.2171 0.9302 0.5942
0.4012 0.3193 0.0153
0.5988 0.8193 0.9847
0.7829 0.4302 0.4058
0.0574 0.4690 0.3492
0.1405 0.8487 0.3937
0.1915 0.1744 0.9790
0.2446 0.4795 0.9894
0.3840 0.8130 0.1050
0.4045 0.0812 0.6021
0.4063 0.7983 0.7528
0.5937 0.2983 0.2472
0.5955 0.5812 0.3979
0.6160 0.3130 0.8950
0.7554 0.9795 0.0106
0.8085 0.6744 0.0210
0.8595 0.3487 0.6063
0.9426 0.9690 0.6508
```

Peak list (8 most intense, 15 to 90 degrees two-theta, most intense first)
d 5.243, 2θ = 16.91°, I = 100
d 3.064, 2θ = 29.14°, I = 50
d 3.967, 2θ = 22.41°, I = 37
d 3.034, 2θ = 29.44°, I = 26
d 3.076, 2θ = 29.03°, I = 26
d 3.997, 2θ = 22.24°, I = 19
d 3.550, 2θ = 25.08°, I = 18
d 3.307, 2θ = 26.96°, I = 18

Record 5
Starting from a crystal structure in Alexandria, relaxed with GGA+U, the powder XRD pattern of LiMnPO4 was computed for Cu Ka.
Kinematic intensities with the Lorentz-polarization factor, no thermal factor.

Structural model:
```
LiMnPO4
1.0
7.2126 0.0000 0.0000
0.0000 7.2126 0.0000
0.0000 0.0000 7.2126
Li Mn P O
4 4 4 16
direct
0.2045 0.2955 0.7045
0.2955 0.7045 0.2045
0.7045 0.2045 0.2955
0.7955 0.7955 0.7955
0.2286 0.7286 0.7714
0.2714 0.2714 0.2714
0.7286 0.7714 0.2286
0.7714 0.2286 0.7286
0.0279 0.9721 0.4721
0.4721 0.0279 0.9721
0.5279 0.5279 0.5279
0.9721 0.4721 0.0279
0.0194 0.9005 0.6777
0.0995 0.1777 0.4806
0.1484 0.8516 0.3516
0.1777 0.4806 0.0995
0.3223 0.5194 0.5995
0.3516 0.1484 0.8516
0.4005 0.8223 0.9806
0.4806 0.0995 0.1777
0.5194 0.5995 0.3223
0.5995 0.3223 0.5194
0.6484 0.6484 0.6484
0.6777 0.0194 0.9005
0.8223 0.9806 0.4005
0.8516 0.3516 0.1484
0.9005 0.6777 0.0194
0.9806 0.4005 0.8223
```

Peak list (8 most intense, 15 to 90 degrees two-theta, most intense first)
d 4.164, 2θ = 21.34°, I = 100
d 2.550, 2θ = 35.19°, I = 48
d 2.175, 2θ = 41.53°, I = 24
d 3.226, 2θ = 27.66°, I = 14
d 2.404, 2θ = 37.41°, I = 14
d 1.472, 2θ = 63.15°, I = 13
d 1.928, 2θ = 47.15°, I = 11
d 1.655, 2θ = 55.54°, I = 10

Record 6
Starting from a crystal structure in Alexandria, relaxed with GGA+U, the powder XRD pattern of LiMnPO4 was computed for Cu Ka.
Kinematic intensities with the Lorentz-polarization factor, no thermal factor.

Structural model:
```
LiMnPO4
1.0
5.2240 0.0000 0.0000
-2.6120 4.5241 0.0000
0.0000 0.0000 9.7347
Li Mn P O
2 2 2 8
direct
0.0000 0.0000 0.0000
0.0000 0.0000 0.5000
0.3333 0.6667 0.1206
0.6667 0.3333 0.6206
0.3333 0.6667 0.4826
0.6667 0.3333 0.9826
0.0581 0.6770 0.5381
0.3230 0.3811 0.5381
0.3333 0.6667 0.3259
0.3811 0.0581 0.0381
0.6189 0.9419 0.5381
0.6667 0.3333 0.8259
0.6770 0.6189 0.0381
0.9419 0.3230 0.0381
```

Peak list (8 most intense, 15 to 90 degrees two-theta, most intense first)
d 4.867, 2θ = 18.23°, I = 100
d 4.103, 2θ = 21.66°, I = 98
d 4.524, 2θ = 19.62°, I = 72
d 2.637, 2θ = 34.00°, I = 48
d 2.612, 2θ = 34.33°, I = 46
d 1.788, 2θ = 51.07°, I = 23
d 2.203, 2θ = 40.96°, I = 22
d 1.508, 2θ = 61.49°, I = 18

Record 7
Starting from a crystal structure in Alexandria, relaxed with GGA+U, the powder XRD pattern of LiMnPO4 was computed for Cu Ka.
Kinematic intensities with the Lorentz-polarization factor, no thermal factor.

Structural model:
```
LiMnPO4
1.0
2.5447 1.4692 8.0334
-2.5447 1.4692 8.0334
0.0000 -2.9384 8.0334
Li Mn P O
2 2 2 8
direct
0.1393 0.1393 0.1393
0.8607 0.8607 0.8607
0.2741 0.2741 0.2741
0.7259 0.7259 0.7259
0.4212 0.4212 0.4212
0.5788 0.5788 0.5788
0.1431 0.7243 0.4575
0.2757 0.5425 0.8569
0.3572 0.3572 0.3572
0.4575 0.1431 0.7243
0.5425 0.8569 0.2757
0.6428 0.6428 0.6428
0.7243 0.4575 0.1431
0.8569 0.2757 0.5425
```

Peak list (8 most intense, 15 to 90 degrees two-theta, most intense first)
d 4.336, 2θ = 20.48°, I = 100
d 4.017, 2θ = 22.13°, I = 67
d 2.545, 2θ = 35.27°, I = 61
d 2.713, 2θ = 33.01°, I = 52
d 2.426, 2θ = 37.06°, I = 44
d 4.139, 2θ = 21.47°, I = 40
d 1.469, 2θ = 63.30°, I = 25
d 1.845, 2θ = 49.41°, I = 25